# 1
Diffraction record for NaInAu5. The XRD peak list is simulated, not measured: it uses DFT lattice parameters and positions (GGA-PBE) and Cu Kα.
No peak broadening, texture or thermal motion is included.

Crystal structure
abc: 8.994 5.753 11.366
angles: 90.00 90.00 90.00
Fractional positions:
Na: 0.248 0.250 0.053
Na: 0.252 0.750 0.553
Na: 0.748 0.250 0.447
Na: 0.752 0.750 0.947
In: 0.146 0.750 0.852
In: 0.354 0.250 0.352
In: 0.646 0.750 0.648
In: 0.854 0.250 0.148
Au: 0.058 0.011 0.310
Au: 0.058 0.489 0.310
Au: 0.071 0.750 0.084
Au: 0.116 0.250 0.524
Au: 0.187 0.250 0.773
Au: 0.313 0.750 0.273
Au: 0.384 0.750 0.024
Au: 0.429 0.250 0.584
Au: 0.442 0.511 0.810
Au: 0.442 0.989 0.810
Au: 0.558 0.011 0.190
Au: 0.558 0.489 0.190
Au: 0.571 0.750 0.416
Au: 0.616 0.250 0.976
Au: 0.687 0.250 0.727
Au: 0.813 0.750 0.227
Au: 0.884 0.750 0.476
Au: 0.929 0.250 0.916
Au: 0.942 0.511 0.690
Au: 0.942 0.989 0.690

Principal peaks in the range 5° ≤ 2θ ≤ 70°, by intensity:
2θ = 40.66°, I = 100.0; 2θ = 40.93°, I = 75.9; 2θ = 34.65°, I = 71.6; 2θ = 19.92°, I = 51.7; 2θ = 37.96°, I = 40.9; 2θ = 33.06°, I = 34.8; 2θ = 40.47°, I = 33.8; 2θ = 17.28°, I = 29.9; 2θ = 43.90°, I = 25.8; 2θ = 46.58°, I = 22.2; 2θ = 38.28°, I = 21.9; 2θ = 15.59°, I = 21.1

# 2
Diffraction record for Na2In4Au3. The XRD peak list is simulated, not measured: it uses DFT lattice parameters and positions (GGA-PBE) and Cu Kα.
No peak broadening, texture or thermal motion is included.

Crystal structure
abc: 8.675 8.675 8.519
angles: 90.00 90.00 137.77
Fractional positions:
Na: 0.109 0.891 0.900
Na: 0.391 0.609 0.400
Na: 0.609 0.391 0.600
Na: 0.891 0.109 0.100
In: 0.182 0.818 0.516
In: 0.189 0.311 0.750
In: 0.311 0.189 0.250
In: 0.318 0.682 0.016
In: 0.682 0.318 0.984
In: 0.689 0.811 0.750
In: 0.811 0.689 0.250
In: 0.818 0.182 0.484
Au: 0.000 0.000 0.500
Au: 0.013 0.487 0.750
Au: 0.487 0.013 0.250
Au: 0.500 0.500 0.000
Au: 0.513 0.987 0.750
Au: 0.987 0.513 0.250

Principal peaks in the range 5° ≤ 2θ ≤ 70°, by intensity:
2θ = 35.63°, I = 100.0; 2θ = 18.44°, I = 60.3; 2θ = 39.54°, I = 51.4; 2θ = 32.89°, I = 40.6; 2θ = 21.97°, I = 36.4; 2θ = 44.36°, I = 35.8; 2θ = 42.25°, I = 31.4; 2θ = 42.44°, I = 27.0; 2θ = 63.07°, I = 26.9; 2θ = 15.10°, I = 23.0; 2θ = 10.93°, I = 18.9; 2θ = 23.60°, I = 17.6